[1]
Sr2MnCu2S2O2: calculated X-ray powder pattern (Cu Kα (λ = 1.5418 Å)), based on a GGA+U-relaxed structure.
Kinematic intensities with the Lorentz-polarization factor, no thermal factor.

Structural model:
```
Sr2MnCu2S2O2
1.0
-2.057 2.057 8.783
2.057 -2.057 8.783
2.057 2.057 -8.783
Sr Mn Cu S O
2 1 2 2 2
direct
0.093 0.093 0.000
0.907 0.907 0.000
0.500 0.500 0.000
0.250 0.750 0.500
0.750 0.250 0.500
0.325 0.325 0.000
0.675 0.675 0.000
0.000 0.500 0.500
0.500 0.000 0.500
```

Largest 12 diffraction maxima, in order of rising 2θ, 2θ from 5° to 70°:
2theta  d_spacing  I/Imax
22.19  4.006  13
30.73  2.909  13
32.42  2.762  53
33.54  2.672  100
37.07  2.425  67
42.18  2.142  20
44.02  2.057  66
52.19  1.753  10
56.45  1.630  42
61.68  1.504  22
62.60  1.484  12
64.01  1.455  20

---

[2]
MnCuSe2O6: calculated X-ray powder pattern (Cu Kα (λ = 1.5418 Å)), based on a GGA+U-relaxed structure.
Kinematic intensities with the Lorentz-polarization factor, no thermal factor.

Structural model:
```
MnCuSe2O6
1.0
5.308 0.000 0.000
0.000 6.154 0.000
-4.949 0.000 7.658
Mn Cu Se O
2 2 4 12
direct
0.000 0.000 0.000
0.000 0.500 0.500
0.500 0.000 0.500
0.500 0.500 0.000
0.242 0.036 0.747
0.242 0.464 0.247
0.758 0.536 0.753
0.758 0.964 0.253
0.033 0.693 0.921
0.033 0.807 0.421
0.315 0.195 0.926
0.315 0.305 0.426
0.434 0.573 0.762
0.434 0.927 0.262
0.566 0.073 0.738
0.566 0.427 0.238
0.685 0.695 0.574
0.685 0.805 0.074
0.967 0.193 0.579
0.967 0.307 0.079
```

Largest 12 diffraction maxima, in order of rising 2θ, 2θ from 5° to 70°:
2theta  d_spacing  I/Imax
29.02  3.077  53
31.33  2.855  21
31.71  2.822  100
32.88  2.724  86
33.81  2.651  48
45.14  2.008  34
47.49  1.915  21
53.15  1.723  24
53.93  1.700  23
56.62  1.626  24
58.44  1.579  23
60.62  1.527  21

---

[3]
MnCu3Se4O12: calculated X-ray powder pattern (Cu Kα (λ = 1.5418 Å)), based on a GGA+U-relaxed structure.
Kinematic intensities with the Lorentz-polarization factor, no thermal factor.

Structural model:
```
MnCu3Se4O12
1.0
5.348 0.000 0.000
-0.135 6.077 0.000
-0.135 -0.065 7.553
Mn Cu Se O
1 3 4 12
direct
0.000 0.000 0.000
0.000 0.000 0.500
0.500 0.500 0.000
0.500 0.500 0.500
0.002 0.464 0.747
0.498 0.041 0.255
0.502 0.959 0.745
0.998 0.536 0.253
0.101 0.705 0.428
0.109 0.690 0.078
0.174 0.925 0.744
0.333 0.425 0.752
0.391 0.197 0.073
0.397 0.204 0.429
0.603 0.796 0.571
0.609 0.803 0.927
0.667 0.575 0.248
0.826 0.075 0.256
0.891 0.310 0.922
0.899 0.295 0.572
```

Largest 12 diffraction maxima, in order of rising 2θ, 2θ from 5° to 70°:
2theta  d_spacing  I/Imax
29.40  3.038  96
32.25  2.776  90
32.41  2.763  91
32.51  2.754  90
33.05  2.710  83
33.53  2.673  100
44.65  2.030  33
45.71  1.985  31
48.19  1.888  38
57.22  1.610  23
58.63  1.575  22
59.39  1.556  38

---

[4]
Sr4Mn2Cu3Se4O4: calculated X-ray powder pattern (Cu Kα (λ = 1.5418 Å)), based on a GGA+U-relaxed structure.
Kinematic intensities with the Lorentz-polarization factor, no thermal factor.

Structural model:
```
Sr4Mn2Cu3Se4O4
1.0
2.905 -9.001 0.000
2.905 9.001 0.000
0.000 0.000 5.811
Sr Mn Cu Se O
4 2 3 4 4
direct
0.094 0.404 0.250
0.404 0.094 0.750
0.596 0.906 0.750
0.906 0.596 0.250
0.000 0.500 0.751
0.500 0.000 0.249
0.000 0.000 0.000
0.000 0.000 0.500
0.500 0.500 0.000
0.170 0.331 0.750
0.331 0.170 0.250
0.669 0.830 0.250
0.830 0.669 0.750
0.250 0.750 0.500
0.251 0.749 0.000
0.749 0.251 0.000
0.750 0.250 0.500
```

Largest 12 diffraction maxima, in order of rising 2θ, 2θ from 5° to 70°:
2theta  d_spacing  I/Imax
30.77  2.905  37
32.38  2.765  12
33.08  2.708  100
36.82  2.441  55
41.42  2.180  22
44.08  2.054  58
50.76  1.799  13
56.20  1.637  42
60.50  1.530  9
62.08  1.495  13
64.10  1.453  18
69.46  1.353  11

---

[5]
SmMn4Cu3O12: calculated X-ray powder pattern (Cu Kα (λ = 1.5418 Å)), based on a GGA+U-relaxed structure.
Kinematic intensities with the Lorentz-polarization factor, no thermal factor.

Structural model:
```
SmMn4Cu3O12
1.0
-3.719 3.719 3.719
3.719 -3.719 3.719
3.719 3.719 -3.719
Sm Mn Cu O
1 4 3 12
direct
0.000 0.000 0.000
0.000 0.000 0.500
0.000 0.500 0.000
0.500 0.000 0.000
0.500 0.500 0.500
0.000 0.500 0.500
0.500 0.000 0.500
0.500 0.500 0.000
0.134 0.304 0.830
0.170 0.475 0.304
0.170 0.866 0.696
0.304 0.170 0.475
0.304 0.830 0.134
0.475 0.304 0.170
0.525 0.696 0.830
0.696 0.170 0.866
0.696 0.830 0.525
0.830 0.134 0.304
0.830 0.525 0.696
0.866 0.696 0.170
```

Largest 12 diffraction maxima, in order of rising 2θ, 2θ from 5° to 70°:
2theta  d_spacing  I/Imax
16.86  5.259  13
23.93  3.719  5
29.42  3.036  3
34.10  2.630  100
38.27  2.352  10
42.09  2.147  6
45.64  1.988  10
48.99  1.859  25
52.18  1.753  2
55.23  1.663  2
61.03  1.518  47
63.81  1.459  3

---

[6]
Sr4Mn2CuO9: calculated X-ray powder pattern (Cu Kα (λ = 1.5418 Å)), based on a GGA+U-relaxed structure.
Kinematic intensities with the Lorentz-polarization factor, no thermal factor.

Structural model:
```
Sr4Mn2CuO9
1.0
7.944 0.000 0.000
0.030 9.706 0.000
0.003 4.793 8.443
Sr Mn Cu O
12 6 3 27
direct
0.000 0.000 0.000
0.000 0.289 0.353
0.009 0.642 0.715
0.247 0.977 0.358
0.251 0.656 0.011
0.253 0.304 0.690
0.497 0.660 0.670
0.497 0.957 0.018
0.500 0.318 0.381
0.747 0.329 0.691
0.751 0.625 0.045
0.755 0.978 0.324
0.087 0.989 0.682
0.177 0.320 0.018
0.325 0.655 0.344
0.415 0.987 0.683
0.657 0.654 0.346
0.843 0.322 0.016
0.509 0.256 0.078
0.751 0.921 0.684
0.993 0.591 0.412
0.008 0.324 0.864
0.009 0.151 0.171
0.009 0.461 0.043
0.181 0.666 0.493
0.183 0.491 0.359
0.214 0.814 0.171
0.249 0.979 0.837
0.252 0.132 0.526
0.252 0.833 0.680
0.285 0.493 0.858
0.319 0.305 0.181
0.320 0.171 0.007
0.492 0.629 0.205
0.493 0.810 0.342
0.495 0.504 0.512
0.525 0.153 0.693
0.558 0.823 0.838
0.563 0.989 0.526
0.700 0.171 0.002
0.702 0.303 0.184
0.730 0.498 0.855
0.772 0.814 0.168
0.800 0.485 0.364
0.804 0.667 0.495
0.942 0.832 0.842
0.942 0.978 0.530
0.975 0.163 0.676
```

Largest 12 diffraction maxima, in order of rising 2θ, 2θ from 5° to 70°:
2theta  d_spacing  I/Imax
28.98  3.081  79
29.07  3.072  58
31.80  2.814  100
32.01  2.796  51
43.45  2.083  14
43.61  2.075  30
43.73  2.070  54
44.51  2.035  16
45.68  1.986  18
56.81  1.621  14
56.92  1.618  19
66.45  1.407  13